Simulated powder X-ray diffraction pattern
Compound: Er11In6Ge4
Radiation: Cu Kα
Structure: a DFT-relaxed cell (GGA-PBE, the Materials Project)
Peak positions follow from Bragg's law for the DFT cell and can differ from measured ones.

```
Er11In6Ge4
1.0
-5.724 5.724 8.105
5.724 -5.724 8.105
5.724 5.724 -8.105
Er In Ge
22 12 8
direct
0.065 0.315 0.750
0.102 0.447 0.346
0.102 0.756 0.654
0.169 0.169 0.000
0.244 0.898 0.346
0.315 0.065 0.750
0.315 0.564 0.250
0.331 0.331 0.661
0.331 0.669 0.000
0.436 0.685 0.750
0.447 0.102 0.346
0.553 0.898 0.654
0.564 0.315 0.250
0.669 0.331 0.000
0.669 0.669 0.339
0.685 0.436 0.750
0.685 0.935 0.250
0.756 0.102 0.654
0.831 0.831 0.000
0.898 0.244 0.346
0.898 0.553 0.654
0.935 0.685 0.250
0.034 0.034 0.411
0.034 0.623 0.000
0.129 0.129 0.258
0.129 0.871 0.000
0.377 0.377 0.411
0.377 0.966 0.000
0.623 0.034 0.000
0.623 0.623 0.589
0.871 0.129 0.000
0.871 0.871 0.742
0.966 0.377 0.000
0.966 0.966 0.589
0.152 0.500 0.652
0.250 0.750 0.500
0.384 0.384 0.000
0.500 0.152 0.652
0.500 0.848 0.348
0.616 0.616 0.000
0.750 0.250 0.500
0.848 0.500 0.348
```

Peak list (10 most intense, 10° ≤ 2θ ≤ 90°, sorted by position)
two_theta	I_rel
31.25	12
32.71	100
33.19	90
35.03	19
36.36	23
42.89	13
47.65	15
56.83	15
66.03	23
67.42	13